This entry pairs a crystal structure of Pm2Ni4As3P with its computed X-ray powder pattern. Radiation: copper Kα. Structure: a GGA-PBE-relaxed structure.
Neutral-atom scattering factors, no anomalous dispersion.

Most intense lines, 2θ = 10–80°, sorted by position:
d [Å]  Position (°2θ)  I (rel.)
2.944  30.36  33
2.501  35.91  92
2.494  36.01  100
2.082  43.47  71
1.711  53.57  26
1.600  57.61  46
1.472  63.16  23
1.381  67.87  17
1.322  71.36  22
1.268  74.89  33

Structure:
a = 4.1638 Å, b = 4.1638 Å, c = 9.3817 Å
α = 90.00°, β = 90.00°, γ = 90.00°
Space group P-4m2 (No. 115)
Symmetry-distinct sites (fractional):
Pm  0.0000  0.5000  0.2468 x2
Ni  0.0000  0.0000  0.5000 x1
Ni  0.0000  0.5000  0.8875 x2
Ni  0.5000  0.5000  0.5000 x1
As  0.0000  0.0000  0.0000 x1
As  0.0000  0.5000  0.6315 x2
P  0.5000  0.5000  0.0000 x1